Theoretical powder diffractogram of Li7Mn3W2O16 for Cu Kα X-rays, from a structure optimized by DFT (GGA+U).

Cell and atoms:
Cell lengths 5.910, 5.910, 9.617 Å; angles 90.93, 90.93, 58.88 degrees
Positions (direct):
Li  0.000  0.000  0.000
Li  0.339  0.339  0.506
Li  0.339  0.853  0.307
Li  0.503  0.503  0.811
Li  0.671  0.671  0.585
Li  0.680  0.680  0.093
Li  0.853  0.339  0.307
Mn  0.011  0.508  0.813
Mn  0.508  0.011  0.813
Mn  0.849  0.849  0.318
W  0.024  0.024  0.577
W  0.348  0.348  0.089
O  0.025  0.513  0.190
O  0.138  0.710  0.449
O  0.157  0.157  0.455
O  0.169  0.630  0.942
O  0.190  0.190  0.933
O  0.328  0.328  0.711
O  0.334  0.848  0.689
O  0.508  0.508  0.169
O  0.513  0.025  0.190
O  0.630  0.169  0.942
O  0.679  0.679  0.903
O  0.691  0.691  0.397
O  0.710  0.138  0.449
O  0.835  0.835  0.701
O  0.848  0.334  0.689
O  0.990  0.990  0.209

Main lines, in order of rising 2θ (15 to 90 degrees two-theta):
2θ = 17.23°, intensity 17.4
2θ = 17.53°, intensity 24.4
2θ = 19.41°, intensity 68.6
2θ = 19.75°, intensity 100.0
2θ = 19.91°, intensity 57.9
2θ = 25.44°, intensity 24.7
2θ = 25.64°, intensity 31.4
2θ = 30.25°, intensity 25.2
2θ = 33.22°, intensity 42.2
2θ = 35.42°, intensity 32.7
2θ = 35.94°, intensity 32.3
2θ = 36.13°, intensity 26.1